For Ce3PrSe6, DFT lattice parameters and positions (GGA-PBE) gives the calculated powder diffraction line list in this record (Cu Kα, 1.54184 Å).
Neutral-atom scattering factors, no anomalous dispersion.

Structure:
```
data_Ce3PrSe6
_chemical_formula_sum 'Ce6 Pr2 Se12'
_space_group_name_H-M_alt 'P 1 21/m 1'
_space_group_IT_number 11
_space_group_name_Hall '-P 2yb'
_cell_length_a 11.7693
_cell_length_b 4.2455
_cell_length_c 12.2237
_cell_angle_alpha 90.00
_cell_angle_beta 107.85
_cell_angle_gamma 90.00
loop_
_atom_site_label
_atom_site_type_symbol
_atom_site_fract_x
_atom_site_fract_y
_atom_site_fract_z
_atom_site_occupancy
Ce1 Ce 0.0699 0.2500 0.1699 1
Ce2 Ce 0.1853 0.7500 0.5041 1
Ce3 Ce 0.3409 0.2500 0.9189 1
Pr1 Pr 0.4543 0.2500 0.3082 1
Se1 Se 0.0196 0.2500 0.3865 1
Se2 Se 0.1002 0.2500 0.9376 1
Se3 Se 0.2457 0.7500 0.2772 1
Se4 Se 0.3085 0.7500 0.7521 1
Se5 Se 0.3848 0.2500 0.5368 1
Se6 Se 0.4157 0.7500 0.0983 1
```

Largest 12 diffraction maxima, most intense first, 15 to 90 degrees two-theta:
| 2θ/deg | I_rel | (hkl) |
| --- | --- | --- |
| 28.81 | 100.0 | 2 1 1 |
| 31.92 | 79.1 | 3 1 0 |
| 39.59 | 74.6 | 4 1 -3 |
| 42.59 | 70.7 | 0 2 0 |
| 29.96 | 52.8 | 2 0 -4 |
| 40.38 | 48.4 | 1 1 4 |
| 22.67 | 47.3 | 3 0 -1 |
| 24.47 | 45.3 | 1 1 1 |
| 21.83 | 44.8 | 1 0 -3 |
| 43.41 | 38.6 | 5 0 1 |
| 31.24 | 37.0 | 0 1 3 |
| 30.44 | 35.4 | 4 0 -1 |



For Ce2Pr3Se8, DFT lattice parameters and positions (GGA-PBE) gives the calculated powder diffraction line list in this record (Cu Kα, 1.54184 Å).
Neutral-atom scattering factors, no anomalous dispersion.

Structure:
```
data_Ce2Pr3Se8
_chemical_formula_sum 'Ce4 Pr6 Se16'
_space_group_name_H-M_alt 'C 1 2/m 1'
_space_group_IT_number 12
_space_group_name_Hall '-C 2y'
_cell_length_a 15.0330
_cell_length_b 8.4801
_cell_length_c 7.1687
_cell_angle_alpha 90.00
_cell_angle_beta 109.93
_cell_angle_gamma 90.00
loop_
_atom_site_label
_atom_site_type_symbol
_atom_site_fract_x
_atom_site_fract_y
_atom_site_fract_z
_atom_site_occupancy
Ce1 Ce 0.2391 0.0000 0.1636 1
Pr1 Pr 0.0000 0.2381 0.5000 1
Pr2 Pr 0.0000 0.5000 0.0000 1
Se1 Se 0.1096 0.0000 0.3739 1
Se2 Se 0.1208 0.5000 0.4319 1
Se3 Se 0.1290 0.2687 0.9169 1
```

Largest 12 diffraction maxima, most intense first, 15 to 90 degrees two-theta:
| 2θ/deg | I_rel | (hkl) |
| --- | --- | --- |
| 32.16 | 100.0 | 4 2 -1 |
| 43.47 | 70.7 | 2 2 -3 |
| 38.88 | 66.5 | 4 2 1 |
| 25.72 | 64.7 | 2 2 -1 |
| 19.47 | 60.4 | 1 1 1 |
| 33.12 | 48.3 | 2 0 2 |
| 38.45 | 38.8 | 6 0 -2 |
| 21.68 | 35.7 | 3 1 -1 |
| 42.65 | 35.0 | 0 4 0 |
| 26.45 | 23.7 | 0 0 2 |
| 24.48 | 23.7 | 2 2 0 |
| 55.03 | 22.1 | 2 4 2 |



For CePrSe, DFT lattice parameters and positions (GGA-PBE) gives the calculated powder diffraction line list in this record (Cu Kα, 1.54184 Å).
Neutral-atom scattering factors, no anomalous dispersion.

Structure:
```
data_CePrSe
_chemical_formula_sum 'Ce2 Pr2 Se2'
_space_group_name_H-M_alt 'P 1 21/m 1'
_space_group_IT_number 11
_space_group_name_Hall '-P 2yb'
_cell_length_a 4.1975
_cell_length_b 4.1986
_cell_length_c 8.8440
_cell_angle_alpha 90.00
_cell_angle_beta 90.68
_cell_angle_gamma 90.00
loop_
_atom_site_label
_atom_site_type_symbol
_atom_site_fract_x
_atom_site_fract_y
_atom_site_fract_z
_atom_site_occupancy
Ce1 Ce 0.2276 0.2500 0.0022 1
Pr1 Pr 0.2492 0.7500 0.3628 1
Se1 Se 0.2539 0.7500 0.7229 1
```

Largest 12 diffraction maxima, most intense first, 15 to 90 degrees two-theta:
| 2θ/deg | I_rel | (hkl) |
| --- | --- | --- |
| 31.72 | 100.0 | 1 1 -1 |
| 31.88 | 95.1 | 1 1 1 |
| 43.10 | 91.3 | 0 2 0 |
| 30.32 | 83.1 | 0 0 3 |
| 36.60 | 62.8 | 1 1 2 |
| 36.31 | 62.2 | 1 1 -2 |
| 53.59 | 33.3 | 0 2 3 |
| 62.59 | 29.4 | 2 2 0 |
| 29.33 | 27.9 | 0 1 2 |
| 51.75 | 22.4 | 1 1 4 |
| 37.27 | 20.5 | 0 1 3 |
| 51.32 | 19.2 | 1 1 -4 |



For Tb3CePr2Se6, DFT lattice parameters and positions (GGA-PBE) gives the calculated powder diffraction line list in this record (Cu Kα, 1.54184 Å).
Neutral-atom scattering factors, no anomalous dispersion.

Structure:
```
data_Tb3CePr2Se6
_chemical_formula_sum 'Tb6 Ce2 Pr4 Se12'
_space_group_name_H-M_alt 'C 1 2/m 1'
_space_group_IT_number 12
_space_group_name_Hall '-C 2y'
_cell_length_a 18.2530
_cell_length_b 4.1323
_cell_length_c 8.4325
_cell_angle_alpha 90.00
_cell_angle_beta 104.34
_cell_angle_gamma 90.00
loop_
_atom_site_label
_atom_site_type_symbol
_atom_site_fract_x
_atom_site_fract_y
_atom_site_fract_z
_atom_site_occupancy
Tb1 Tb 0.0000 0.0000 0.0000 1
Tb2 Tb 0.1681 0.5000 0.3350 1
Ce1 Ce 0.0000 0.0000 0.5000 1
Pr1 Pr 0.1663 0.5000 0.8325 1
Se1 Se 0.0039 0.5000 0.2448 1
Se2 Se 0.1635 0.0000 0.0922 1
Se3 Se 0.1685 0.0000 0.5743 1
```

Largest 12 diffraction maxima, most intense first, 15 to 90 degrees two-theta:
| 2θ/deg | I_rel | (hkl) |
| --- | --- | --- |
| 30.30 | 100.0 | 6 0 0 |
| 43.12 | 24.9 | 7 1 -2 |
| 43.66 | 24.4 | 5 1 2 |
| 54.22 | 12.8 | 6 2 0 |
| 42.91 | 12.6 | 2 0 -4 |
| 43.82 | 12.1 | 0 2 0 |
| 63.03 | 12.0 | 2 2 -4 |
| 71.93 | 11.0 | 11 1 2 |
| 71.14 | 10.9 | 13 1 -2 |
| 26.34 | 8.7 | 3 1 0 |
| 52.97 | 6.6 | 8 0 -4 |
| 53.91 | 6.5 | 4 0 4 |



For CePrTm2Se4, DFT lattice parameters and positions (GGA-PBE) gives the calculated powder diffraction line list in this record (Cu Kα, 1.54184 Å).
Neutral-atom scattering factors, no anomalous dispersion.

Structure:
```
data_CePrTm2Se4
_chemical_formula_sum 'Ce1 Pr1 Tm2 Se4'
_space_group_name_H-M_alt 'P 1 2/m 1'
_space_group_IT_number 10
_space_group_name_Hall '-P 2y'
_cell_length_a 7.0451
_cell_length_b 4.0542
_cell_length_c 7.3413
_cell_angle_alpha 90.00
_cell_angle_beta 108.53
_cell_angle_gamma 90.00
loop_
_atom_site_label
_atom_site_type_symbol
_atom_site_fract_x
_atom_site_fract_y
_atom_site_fract_z
_atom_site_occupancy
Ce1 Ce 0.0000 0.0000 0.0000 1
Pr1 Pr 0.5000 0.5000 0.0000 1
Tm1 Tm 0.0000 0.5000 0.5000 1
Tm2 Tm 0.5000 0.0000 0.5000 1
Se1 Se 0.2408 0.0000 0.7289 1
Se2 Se 0.2548 0.5000 0.2696 1
```

Largest 12 diffraction maxima, most intense first, 15 to 90 degrees two-theta:
| 2θ/deg | I_rel | (hkl) |
| --- | --- | --- |
| 30.65 | 100.0 | 1 1 1 |
| 43.20 | 25.2 | 1 1 -3 |
| 44.59 | 23.9 | 3 1 -1 |
| 26.75 | 14.3 | 2 0 0 |
| 43.09 | 12.7 | 2 0 2 |
| 55.18 | 12.6 | 2 2 -2 |
| 44.71 | 11.9 | 0 2 0 |
| 63.82 | 11.8 | 4 0 -4 |
| 71.44 | 11.4 | 0 2 4 |
| 73.46 | 11.1 | 4 2 0 |
| 52.59 | 6.7 | 0 0 4 |
| 54.98 | 6.6 | 4 0 0 |



For Ce4Pr3TmSe8, DFT lattice parameters and positions (GGA-PBE) gives the calculated powder diffraction line list in this record (Cu Kα, 1.54184 Å).
Neutral-atom scattering factors, no anomalous dispersion.

Structure:
```
data_Ce4Pr3TmSe8
_chemical_formula_sum 'Ce12 Pr9 Tm3 Se24'
_space_group_name_H-M_alt 'R -3 m'
_space_group_IT_number 166
_space_group_name_Hall '-R 3 2"'
_cell_length_a 8.4064
_cell_length_b 8.4064
_cell_length_c 20.6510
_cell_angle_alpha 90.00
_cell_angle_beta 90.00
_cell_angle_gamma 120.00
loop_
_atom_site_label
_atom_site_type_symbol
_atom_site_fract_x
_atom_site_fract_y
_atom_site_fract_z
_atom_site_occupancy
Ce1 Ce 0.0000 0.0000 0.0000 1
Ce2 Ce 0.0000 0.5000 0.0000 1
Pr1 Pr 0.0000 0.5000 0.5000 1
Tm1 Tm 0.0000 0.0000 0.5000 1
Se1 Se 0.0000 0.0000 0.2517 1
Se2 Se 0.0109 0.5055 0.2489 1
```

Largest 12 diffraction maxima, most intense first, 15 to 90 degrees two-theta:
| 2θ/deg | I_rel | (hkl) |
| --- | --- | --- |
| 30.04 | 100.0 | 0 2 4 |
| 43.00 | 74.4 | 2 0 8 |
| 53.38 | 19.5 | 4 0 4 |
| 78.85 | 18.5 | 4 2 8 |
| 70.76 | 16.7 | 2 2 12 |
| 70.89 | 16.5 | 2 4 4 |
| 25.94 | 15.7 | 2 0 2 |
| 62.43 | 12.1 | 0 4 8 |
| 53.23 | 6.6 | 0 0 12 |
| 78.65 | 6.3 | 0 2 16 |
| 50.88 | 6.0 | 2 2 6 |
| 50.95 | 2.0 | 0 4 2 |



For CePrSi, DFT lattice parameters and positions (GGA-PBE) gives the calculated powder diffraction line list in this record (Cu Kα, 1.54184 Å).
Neutral-atom scattering factors, no anomalous dispersion.

Structure:
```
data_CePrSi
_chemical_formula_sum 'Ce2 Pr2 Si2'
_space_group_name_H-M_alt 'P 1 21/m 1'
_space_group_IT_number 11
_space_group_name_Hall '-P 2yb'
_cell_length_a 4.3534
_cell_length_b 4.3030
_cell_length_c 8.4594
_cell_angle_alpha 90.00
_cell_angle_beta 90.45
_cell_angle_gamma 90.00
loop_
_atom_site_label
_atom_site_type_symbol
_atom_site_fract_x
_atom_site_fract_y
_atom_site_fract_z
_atom_site_occupancy
Ce1 Ce 0.2116 0.2500 0.0039 1
Pr1 Pr 0.2484 0.7500 0.3637 1
Si1 Si 0.2596 0.7500 0.7392 1
```

Largest 12 diffraction maxima, most intense first, 15 to 90 degrees two-theta:
| 2θ/deg | I_rel | (hkl) |
| --- | --- | --- |
| 31.02 | 100.0 | 1 1 -1 |
| 31.13 | 95.7 | 1 1 1 |
| 29.59 | 71.6 | 1 0 2 |
| 31.73 | 60.9 | 0 0 3 |
| 36.33 | 42.3 | 1 1 2 |
| 36.13 | 40.0 | 1 1 -2 |
| 41.99 | 38.8 | 0 2 0 |
| 41.49 | 36.1 | 2 0 0 |
| 53.58 | 27.6 | 0 2 3 |
| 22.90 | 25.5 | 1 0 -1 |
| 52.75 | 25.3 | 1 1 4 |
| 52.46 | 24.7 | 1 1 -4 |



For CePr5Si4, DFT lattice parameters and positions (GGA-PBE) gives the calculated powder diffraction line list in this record (Cu Kα, 1.54184 Å).
Neutral-atom scattering factors, no anomalous dispersion.

Structure:
```
data_CePr5Si4
_chemical_formula_sum 'Ce2 Pr10 Si8'
_space_group_name_H-M_alt 'C 1 2/m 1'
_space_group_IT_number 12
_space_group_name_Hall '-C 2y'
_cell_length_a 15.7165
_cell_length_b 5.1309
_cell_length_c 7.0345
_cell_angle_alpha 90.00
_cell_angle_beta 91.13
_cell_angle_gamma 90.00
loop_
_atom_site_label
_atom_site_type_symbol
_atom_site_fract_x
_atom_site_fract_y
_atom_site_fract_z
_atom_site_occupancy
Ce1 Ce 0.0000 0.0000 0.0000 1
Pr1 Pr 0.0000 0.0000 0.5000 1
Pr2 Pr 0.1633 0.5000 0.4895 1
Pr3 Pr 0.1662 0.5000 0.0035 1
Si1 Si 0.0084 0.5000 0.7548 1
Si2 Si 0.1763 0.0000 0.2490 1
```

Largest 12 diffraction maxima, most intense first, 15 to 90 degrees two-theta:
| 2θ/deg | I_rel | (hkl) |
| --- | --- | --- |
| 24.28 | 100.0 | 3 1 0 |
| 35.12 | 66.7 | 3 1 -2 |
| 35.62 | 63.5 | 3 1 2 |
| 25.33 | 44.7 | 0 0 2 |
| 34.24 | 35.3 | 6 0 0 |
| 34.98 | 33.9 | 0 2 0 |
| 49.75 | 24.3 | 6 2 0 |
| 43.67 | 21.2 | 0 2 2 |
| 63.13 | 17.8 | 3 3 2 |
| 61.55 | 12.6 | 9 1 -2 |
| 62.82 | 12.2 | 3 3 -2 |
| 42.64 | 12.1 | 6 0 -2 |



For CePr7Sm4, DFT lattice parameters and positions (GGA-PBE) gives the calculated powder diffraction line list in this record (Cu Kα, 1.54184 Å).
Neutral-atom scattering factors, no anomalous dispersion.

Structure:
```
data_CePr7Sm4
_chemical_formula_sum 'Ce1 Pr7 Sm4'
_space_group_name_H-M_alt 'P 1 2/m 1'
_space_group_IT_number 10
_space_group_name_Hall '-P 2y'
_cell_length_a 7.3378
_cell_length_b 5.1973
_cell_length_c 11.0246
_cell_angle_alpha 90.00
_cell_angle_beta 90.22
_cell_angle_gamma 90.00
loop_
_atom_site_label
_atom_site_type_symbol
_atom_site_fract_x
_atom_site_fract_y
_atom_site_fract_z
_atom_site_occupancy
Ce1 Ce 0.0000 0.0000 0.0000 1
Pr1 Pr 0.9996 0.0000 0.3297 1
Pr2 Pr 0.2458 0.5000 0.1636 1
Pr3 Pr 0.2528 0.5000 0.5009 1
Pr4 Pr 0.5000 0.0000 0.0000 1
Sm1 Sm 0.2472 0.5000 0.8351 1
Sm2 Sm 0.4999 0.0000 0.3329 1
```

Largest 12 diffraction maxima, most intense first, 15 to 90 degrees two-theta:
| 2θ/deg | I_rel | (hkl) |
| --- | --- | --- |
| 29.79 | 100.0 | 2 1 0 |
| 34.50 | 33.9 | 0 2 0 |
| 58.92 | 28.9 | 2 3 0 |
| 49.59 | 18.2 | 2 2 -3 |
| 49.69 | 18.1 | 4 0 0 |
| 34.61 | 16.8 | 2 0 3 |
| 59.08 | 14.3 | 4 1 3 |
| 61.88 | 12.4 | 4 2 0 |
| 80.55 | 8.8 | 4 3 -3 |
| 80.70 | 8.7 | 6 1 0 |
| 83.05 | 6.8 | 2 4 -3 |
| 83.19 | 5.4 | 2 4 3 |



For Tb2CePrSm6, DFT lattice parameters and positions (GGA-PBE) gives the calculated powder diffraction line list in this record (Cu Kα, 1.54184 Å).
Neutral-atom scattering factors, no anomalous dispersion.

Structure:
```
data_Tb2CePrSm6
_chemical_formula_sum 'Tb4 Ce2 Pr2 Sm12'
_space_group_name_H-M_alt 'C 1 2/m 1'
_space_group_IT_number 12
_space_group_name_Hall '-C 2y'
_cell_length_a 11.4390
_cell_length_b 6.8568
_cell_length_c 8.9942
_cell_angle_alpha 90.00
_cell_angle_beta 104.40
_cell_angle_gamma 90.00
loop_
_atom_site_label
_atom_site_type_symbol
_atom_site_fract_x
_atom_site_fract_y
_atom_site_fract_z
_atom_site_occupancy
Tb1 Tb 0.0897 0.0000 0.1618 1
Ce1 Ce 0.0000 0.5000 0.0000 1
Pr1 Pr 0.0000 0.0000 0.5000 1
Sm1 Sm 0.1279 0.5000 0.4151 1
Sm2 Sm 0.1717 0.2386 0.8031 1
```

Largest 12 diffraction maxima, most intense first, 15 to 90 degrees two-theta:
| 2θ/deg | I_rel | (hkl) |
| --- | --- | --- |
| 31.04 | 100.0 | 2 2 -1 |
| 33.71 | 55.5 | 4 0 -2 |
| 31.39 | 54.9 | 4 0 -1 |
| 27.10 | 43.2 | 1 1 2 |
| 30.67 | 40.8 | 2 2 0 |
| 55.89 | 40.0 | 2 2 4 |
| 32.60 | 36.2 | 1 1 -3 |
| 33.26 | 34.5 | 0 2 2 |
| 30.49 | 29.3 | 3 1 -2 |
| 29.06 | 27.3 | 2 0 2 |
| 30.79 | 24.7 | 0 0 3 |
| 46.67 | 18.7 | 5 1 1 |



For TbCePr6Sm2, DFT lattice parameters and positions (GGA-PBE) gives the calculated powder diffraction line list in this record (Cu Kα, 1.54184 Å).
Neutral-atom scattering factors, no anomalous dispersion.

Structure:
```
data_TbCePr6Sm2
_chemical_formula_sum 'Tb2 Ce2 Pr12 Sm4'
_space_group_name_H-M_alt 'C 1 2/m 1'
_space_group_IT_number 12
_space_group_name_Hall '-C 2y'
_cell_length_a 11.4552
_cell_length_b 7.0986
_cell_length_c 8.9856
_cell_angle_alpha 90.00
_cell_angle_beta 104.28
_cell_angle_gamma 90.00
loop_
_atom_site_label
_atom_site_type_symbol
_atom_site_fract_x
_atom_site_fract_y
_atom_site_fract_z
_atom_site_occupancy
Tb1 Tb 0.0000 0.0000 0.0000 1
Ce1 Ce 0.0000 0.5000 0.5000 1
Pr1 Pr 0.1233 0.5000 0.9143 1
Pr2 Pr 0.1760 0.2358 0.2964 1
Sm1 Sm 0.0894 0.0000 0.6642 1
```

Largest 12 diffraction maxima, most intense first, 15 to 90 degrees two-theta:
| 2θ/deg | I_rel | (hkl) |
| --- | --- | --- |
| 30.29 | 100.0 | 2 2 -1 |
| 29.88 | 47.7 | 2 2 0 |
| 55.38 | 40.8 | 2 2 4 |
| 26.88 | 39.7 | 1 1 2 |
| 32.55 | 37.2 | 0 2 2 |
| 32.45 | 35.7 | 1 1 -3 |
| 31.16 | 31.1 | 3 1 1 |
| 32.94 | 28.0 | 2 2 1 |
| 29.02 | 27.0 | 2 0 2 |
| 31.32 | 23.6 | 4 0 -1 |
| 33.75 | 22.9 | 4 0 -2 |
| 46.42 | 20.7 | 5 1 1 |



For CePrSm2Tm, DFT lattice parameters and positions (GGA-PBE) gives the calculated powder diffraction line list in this record (Cu Kα, 1.54184 Å).
Neutral-atom scattering factors, no anomalous dispersion.

Structure:
```
data_CePrSm2Tm
_chemical_formula_sum 'Ce2 Pr2 Sm4 Tm2'
_space_group_name_H-M_alt 'P 1 2/c 1'
_space_group_IT_number 13
_space_group_name_Hall '-P 2yc'
_cell_length_a 8.4934
_cell_length_b 6.3437
_cell_length_c 6.2027
_cell_angle_alpha 90.00
_cell_angle_beta 91.27
_cell_angle_gamma 90.00
loop_
_atom_site_label
_atom_site_type_symbol
_atom_site_fract_x
_atom_site_fract_y
_atom_site_fract_z
_atom_site_occupancy
Ce1 Ce 0.0000 0.0428 0.2500 1
Pr1 Pr 0.0000 0.5000 0.0000 1
Sm1 Sm 0.3101 0.1913 0.7434 1
Tm1 Tm 0.5000 0.3261 0.2500 1
```

Largest 12 diffraction maxima, most intense first, 15 to 90 degrees two-theta:
| 2θ/deg | I_rel | (hkl) |
| --- | --- | --- |
| 28.84 | 100.0 | 0 0 2 |
| 30.08 | 68.8 | 1 2 0 |
| 29.35 | 59.6 | 2 1 1 |
| 31.65 | 45.1 | 3 0 0 |
| 45.23 | 29.2 | 3 1 -2 |
| 32.13 | 28.1 | 0 1 2 |
| 37.42 | 27.1 | 3 1 -1 |
| 34.07 | 26.5 | 1 1 2 |
| 33.66 | 24.6 | 1 1 -2 |
| 35.32 | 24.6 | 2 2 0 |
| 37.99 | 24.6 | 3 1 1 |
| 20.92 | 23.3 | 2 0 0 |